The following is a theoretical XRD peak list of Li2ZnCdBr6. It was derived from a GGA-PBE-relaxed structure, using Cu Kα (λ = 1.5418 Å).

Top 10 peaks for 2θ from 10° to 80°, low angle first:
(hkl)  two_theta  I/Imax
0 1 -1  17.70  38.1
0 1 1  24.24  11.7
0 0 2  28.67  13.4
1 1 -2  29.75  100.0
2 0 0  35.84  10.4
-2 1 3  39.08  44.8
3 0 -2  45.85  36.0
1 1 -4  51.46  20.3
3 0 0  54.98  10.4
2 2 -1  55.61  11.3

Structural model:
```
data_Li2ZnCdBr6
_space_group_name_H-M_alt 'P 1'
_space_group_IT_number 1
_cell_length_a 6.8508
_cell_length_b 6.8548
_cell_length_c 7.3755
_cell_angle_alpha 90.03
_cell_angle_beta 117.64
_cell_angle_gamma 119.93
loop_
_space_group_symop_operation_xyz
'x,y,z'
loop_
_atom_site_label
_atom_site_fract_x
_atom_site_fract_y
_atom_site_fract_z
Li1 0.0000 0.0000 0.0000
Li2 0.9999 0.4997 0.5000
Zn1 0.6075 0.8040 0.4131
Cd1 0.6090 0.3049 0.9134
Br1 0.1095 0.2132 0.7130
Br2 0.1413 0.4170 0.2254
Br3 0.5005 0.0835 0.2256
Br4 0.4998 0.8963 0.7123
Br5 0.8078 0.7249 0.2258
Br6 0.8166 0.6038 0.7126
```

The following is a theoretical XRD peak list of AgPd5. It was derived from a GGA-PBE-relaxed structure, using Cu Kα (λ = 1.5418 Å).

Top 8 peaks for 2θ from 10° to 80°, low angle first:
(hkl)  two_theta  I/Imax
1 3 0  39.09  100.0
1 0 2  39.29  98.5
2 0 0  45.57  96.0
0 6 0  66.09  10.2
2 3 2  66.43  40.2
0 0 4  66.65  9.9
1 6 2  79.67  23.8
3 3 0  79.92  11.8

Structural model:
```
data_AgPd5
_space_group_name_H-M_alt 'P m m n'
_space_group_IT_number 59
_cell_length_a 3.9774
_cell_length_b 8.4824
_cell_length_c 5.6130
_cell_angle_alpha 90.00
_cell_angle_beta 90.00
_cell_angle_gamma 90.00
loop_
_space_group_symop_operation_xyz
'x,y,z'
'-x,-y,-z'
'-x+1/2,-y+1/2,z'
'x+1/2,y+1/2,-z'
'x+1/2,-y,-z'
'-x+1/2,y,z'
'-x,y+1/2,-z'
'x,-y+1/2,z'
loop_
_atom_site_label
_atom_site_fract_x
_atom_site_fract_y
_atom_site_fract_z
Ag1 0.2500 0.2500 0.1246
Pd1 0.2500 0.2500 0.6250
Pd2 0.2500 0.5820 0.1279
Pd3 0.2500 0.5826 0.6229
```

The following is a theoretical XRD peak list of Cd2Pb3O8. It was derived from a GGA-PBE-relaxed structure, using Cu Kα (λ = 1.5418 Å).

Top 10 peaks for 2θ from 10° to 80°, low angle first:
(hkl)  two_theta  I/Imax
2 0 0  16.55  85.9
1 1 1  23.59  36.4
2 0 1  25.37  32.8
3 1 -1  29.67  44.0
0 2 1  31.29  100.0
0 0 2  31.74  75.9
2 2 -1  33.82  58.0
4 2 -1  43.60  38.0
4 2 1  49.19  52.0
2 2 -3  55.47  38.4

Structural model:
```
data_Cd2Pb3O8
_space_group_name_H-M_alt 'C 1 2/m 1'
_space_group_IT_number 12
_cell_length_a 10.9955
_cell_length_b 6.6343
_cell_length_c 5.7831
_cell_angle_alpha 90.00
_cell_angle_beta 102.94
_cell_angle_gamma 90.00
loop_
_space_group_symop_operation_xyz
'x,y,z'
'-x,-y,-z'
'-x,y,-z'
'x,-y,z'
'x+1/2,y+1/2,z'
'-x+1/2,-y+1/2,-z'
'-x+1/2,y+1/2,-z'
'x+1/2,-y+1/2,z'
loop_
_atom_site_label
_atom_site_fract_x
_atom_site_fract_y
_atom_site_fract_z
Cd1 0.2046 0.0000 0.0928
Pb1 0.0000 0.2434 0.5000
Pb2 0.0000 0.5000 0.0000
O1 0.1029 0.5000 0.3739
O2 0.1061 0.0000 0.3902
O3 0.1210 0.2769 0.8701
```